Calculated XRD peak list
Compound: CsKCdSn
Radiation: Cu Ka
Structure: the GGA-PBE geometry in OQMD
Lines closer than 0.1° are merged.

Crystal structure
```
CsKCdSn
1.0
6.852 0.000 0.000
0.000 5.799 4.372
0.000 -5.799 4.372
Cs K Cd Sn
2 2 2 2
Direct
0.000 0.171 0.829
0.000 0.829 0.171
0.500 0.125 0.466
0.500 0.466 0.125
0.250 0.643 0.643
0.750 0.643 0.643
0.000 0.388 0.388
0.500 0.900 0.900
```

The 8 most intense peaks (10° ≤ 2θ ≤ 80°), sorted by position:
| d_spacing | 2theta | I_rel |
| --- | --- | --- |
| 5.799 | 15.28 | 31 |
| 3.686 | 24.15 | 27 |
| 3.536 | 25.19 | 50 |
| 3.142 | 28.40 | 100 |
| 3.076 | 29.03 | 41 |
| 2.697 | 33.22 | 41 |
| 2.445 | 36.75 | 35 |
| 1.919 | 47.38 | 24 |



Calculated XRD peak list
Compound: Ba4ZnO
Radiation: Cu Ka
Structure: the GGA-PBE geometry in OQMD
Lines closer than 0.1° are merged.

Crystal structure
```
Ba4ZnO
1.0
3.750 0.000 0.000
0.000 3.750 0.000
0.000 0.000 15.252
Ba Zn O
4 1 1
Direct
0.000 0.000 0.106
0.000 0.000 0.894
0.500 0.500 0.362
0.500 0.500 0.638
0.000 0.000 0.500
0.500 0.500 0.000
```

The 8 most intense peaks (10° ≤ 2θ ≤ 80°), sorted by position:
| d_spacing | 2theta | I_rel |
| --- | --- | --- |
| 3.813 | 23.33 | 39 |
| 3.642 | 24.44 | 75 |
| 3.018 | 29.60 | 100 |
| 2.652 | 33.80 | 74 |
| 2.366 | 38.02 | 55 |
| 2.177 | 41.47 | 40 |
| 1.683 | 54.52 | 26 |
| 1.593 | 57.89 | 29 |



- What is the formula in the second record?
  Ba4ZnO